Structure and computed powder X-ray diffraction pattern of KTl2TeI6 (a PBE-relaxed structure; Cu Kα).
No peak broadening, texture or thermal motion is included.

Structure:
```
KTl2TeI6
1.0
8.209 0.000 0.000
3.608 8.168 0.000
3.988 2.912 7.453
K Tl Te I
1 2 1 6
direct
0.000 0.000 0.000
0.274 0.135 0.300
0.791 0.589 0.840
0.479 0.541 0.497
0.098 0.829 0.689
0.210 0.340 0.591
0.404 0.782 0.147
0.570 0.307 0.831
0.698 0.778 0.417
0.857 0.277 0.234
```

Most intense lines, 2θ = 5–70°, sorted by position:
hkl 1 0 1, 6.221 Å, 2θ = 14.24°, I 383; hkl -1 1 1, 3.986 Å, 2θ = 22.30°, I 684; hkl 1 0 2, 3.836 Å, 2θ = 23.19°, I 595; hkl 2 0 1, 3.700 Å, 2θ = 24.05°, I 387; hkl 2 2 1, 3.521 Å, 2θ = 25.30°, I 508; hkl 0 2 2, 3.337 Å, 2θ = 26.71°, I 447; hkl -1 2 1, 3.003 Å, 2θ = 29.75°, I 433; hkl 1 -1 2, 2.889 Å, 2θ = 30.96°, I 1000; hkl 0 1 3, 2.665 Å, 2θ = 33.63°, I 500; hkl 3 1 0, 2.443 Å, 2θ = 36.79°, I 519